Starting from a cell relaxed with GGA-PBE, the powder diffractogram of Ba2PaSbO6 was computed for Cu Kα X-rays.

Top 10 peaks for 2θ = 10–90°, most intense first:
- (1 1 0), 2θ 28.34, I = 100
- (2 1 2), 2θ 50.17, I = 39
- (2 0 0), 2θ 40.51, I = 28
- (3 2 2), 2θ 80.73, I = 18
- (2 2 0), 2θ 58.62, I = 17
- (3 1 0), 2θ 66.37, I = 16
- (1 0 1), 2θ 22.32, I = 9
- (0 0 2), 2θ 19.93, I = 6
- (2 2 4), 2θ 73.68, I = 5
- (1 1 3), 2θ 41.81, I = 4

Structure:
```
Ba2PaSbO6
1.0
4.4541 0.0000 0.0000
0.0000 4.4541 0.0000
0.0000 0.0000 8.9078
Ba Pa Sb O
2 1 1 6
direct
0.0000 0.0000 0.2212
0.0000 0.0000 0.7788
0.5000 0.5000 0.5000
0.5000 0.5000 0.0000
0.0000 0.5000 0.0000
0.0000 0.5000 0.5000
0.5000 0.0000 0.0000
0.5000 0.0000 0.5000
0.5000 0.5000 0.2616
0.5000 0.5000 0.7384
```